Calculated X-ray diffraction stick pattern
Compound: TbNd2TmTe5
Radiation: a wavelength of 1.5418 Å
Structure: the GGA-PBE geometry in Alexandria
Lines closer than 0.1° are merged.

Cell and atoms:
Lattice parameters (Å, degrees): 5.487 5.487 11.560 90.00 90.00 90.00
Atoms (fractional coordinates):
Tb 0.000 0.000 0.000
Nd 0.500 0.500 0.336
Nd 0.500 0.500 0.664
Tm 0.000 0.000 0.500
Te 0.000 0.000 0.247
Te 0.000 0.000 0.753
Te 0.000 0.500 0.500
Te 0.500 0.000 0.500
Te 0.500 0.500 0.000

Largest 10 diffraction maxima, in order of rising 2θ, 10° ≤ 2θ ≤ 90°:
2theta  I/Imax
22.9  878
28.3  363
30.9  233
32.6  1000
32.8  527
35.1  401
43.7  223
45.6  352
46.8  365
48.7  319


Calculated X-ray diffraction stick pattern
Compound: Tb3Nd8Th2
Radiation: a wavelength of 1.5418 Å
Structure: the GGA-PBE geometry in Alexandria
Lines closer than 0.1° are merged.

Cell and atoms:
Lattice parameters (Å, degrees): 5.775 8.910 18.608 86.48 81.14 71.13
Atoms (fractional coordinates):
Tb 0.000 0.000 0.000
Tb 0.000 0.500 0.500
Tb 0.273 0.232 0.227
Tb 0.452 0.812 0.287
Tb 0.548 0.188 0.713
Tb 0.727 0.768 0.773
Nd 0.066 0.596 0.276
Nd 0.111 0.984 0.790
Nd 0.128 0.661 0.086
Nd 0.231 0.127 0.414
Nd 0.335 0.291 0.036
Nd 0.352 0.633 0.658
Nd 0.396 0.735 0.475
Nd 0.495 0.903 0.112
Nd 0.505 0.097 0.888
Nd 0.604 0.265 0.525
Nd 0.648 0.367 0.342
Nd 0.665 0.709 0.964
Nd 0.769 0.873 0.586
Nd 0.872 0.339 0.914
Nd 0.889 0.016 0.210
Nd 0.934 0.404 0.724
Th 0.145 0.102 0.605
Th 0.295 0.556 0.852
Th 0.705 0.444 0.148
Th 0.855 0.898 0.395

Largest 10 diffraction maxima, in order of rising 2θ, 10° ≤ 2θ ≤ 90°:
2theta  I/Imax
26.3  97
30.8  419
31.0  711
31.3  1000
31.5  451
34.7  150
44.3  107
55.0  101
55.3  267
55.4  99


Calculated X-ray diffraction stick pattern
Compound: Tb3NdTh2
Radiation: a wavelength of 1.5418 Å
Structure: the GGA-PBE geometry in Alexandria
Lines closer than 0.1° are merged.

Cell and atoms:
Lattice parameters (Å, degrees): 7.182 7.182 8.772 90.00 90.00 120.00
Atoms (fractional coordinates):
Tb 0.166 0.332 0.176
Tb 0.166 0.834 0.176
Tb 0.332 0.166 0.824
Tb 0.668 0.834 0.176
Tb 0.834 0.166 0.824
Tb 0.834 0.668 0.824
Nd 0.333 0.667 0.827
Nd 0.667 0.333 0.173
Th 0.000 0.000 0.500
Th 0.000 0.500 0.500
Th 0.500 0.000 0.500
Th 0.500 0.500 0.500

Largest 10 diffraction maxima, in order of rising 2θ, 10° ≤ 2θ ≤ 90°:
2theta  I/Imax
30.5  1000
35.4  521
50.9  183
51.0  177
60.5  326
60.6  113
63.5  97
82.9  92
85.5  88
85.7  80


Repeat the third record exactly.
Calculated X-ray diffraction stick pattern
Compound: Tb3NdTh2
Radiation: a wavelength of 1.5418 Å
Structure: the GGA-PBE geometry in Alexandria
Lines closer than 0.1° are merged.

Cell and atoms:
Lattice parameters (Å, degrees): 7.182 7.182 8.772 90.00 90.00 120.00
Atoms (fractional coordinates):
Tb 0.166 0.332 0.176
Tb 0.166 0.834 0.176
Tb 0.332 0.166 0.824
Tb 0.668 0.834 0.176
Tb 0.834 0.166 0.824
Tb 0.834 0.668 0.824
Nd 0.333 0.667 0.827
Nd 0.667 0.333 0.173
Th 0.000 0.000 0.500
Th 0.000 0.500 0.500
Th 0.500 0.000 0.500
Th 0.500 0.500 0.500

Largest 10 diffraction maxima, in order of rising 2θ, 10° ≤ 2θ ≤ 90°:
2theta  I/Imax
30.5  1000
35.4  521
50.9  183
51.0  177
60.5  326
60.6  113
63.5  97
82.9  92
85.5  88
85.7  80


Q: Number 3 is which compound?
A: Tb3NdTh2